(1)
The following is a computed XRD peak list of EuSnP. It was derived from a cell relaxed with GGA-PBE, using Cu Kα (λ = 1.5418 Å).
Intensities are scaled so that the largest is 1000.

Atomic structure:
```
EuSnP
1.0
4.275 0.000 0.000
0.000 4.275 0.000
0.000 0.000 8.748
Eu Sn P
2 2 2
Cartesian
1.069 1.069 1.476 Eu
3.206 3.206 7.272 Eu
1.069 1.069 4.818 Sn
3.206 3.206 3.930 Sn
1.069 1.069 7.321 P
3.206 3.206 1.428 P
```

Largest 10 diffraction maxima, in order of rising 2θ, 2θ = 10–90°:
| 2θ (°) | intensity |
| --- | --- |
| 23.2 | 175 |
| 29.2 | 671 |
| 29.6 | 1000 |
| 30.7 | 314 |
| 42.3 | 378 |
| 43.1 | 492 |
| 52.2 | 287 |
| 53.1 | 265 |
| 69.5 | 176 |
| 77.9 | 177 |



(2)
The following is a computed XRD peak list of Ac3PmNi8. It was derived from a cell relaxed with GGA-PBE, using Cu Kα (λ = 1.5418 Å).
Intensities are scaled so that the largest is 1000.

Atomic structure:
```
Ac3PmNi8
1.0
2.651 1.530 8.685
-2.651 1.530 8.685
0.000 -3.061 8.685
Ac Pm Ni
3 1 8
Cartesian
0.000 0.000 0.000 Ac
0.000 0.000 3.291 Ac
0.000 0.000 16.146 Ac
0.000 0.000 12.927 Pm
0.000 -1.536 5.887 Ni
-1.330 0.768 5.887 Ni
-1.323 -0.764 10.308 Ni
0.000 0.000 8.088 Ni
1.330 0.768 5.887 Ni
1.323 -0.764 10.308 Ni
0.000 1.527 10.308 Ni
0.000 0.000 21.131 Ni
```

Largest 10 diffraction maxima, in order of rising 2θ, 2θ = 10–90°:
| 2θ (°) | intensity |
| --- | --- |
| 20.5 | 244 |
| 33.8 | 734 |
| 39.8 | 1000 |
| 41.7 | 89 |
| 60.5 | 212 |
| 64.4 | 75 |
| 64.5 | 238 |
| 71.0 | 108 |
| 71.1 | 113 |
| 84.8 | 85 |



(3)
The following is a computed XRD peak list of KTl4Pd6. It was derived from a cell relaxed with GGA-PBE, using Cu Kα (λ = 1.5418 Å).
Intensities are scaled so that the largest is 1000.

Atomic structure:
```
KTl4Pd6
1.0
7.902 0.000 0.000
-3.951 6.843 0.000
0.000 0.000 4.340
K Tl Pd
1 4 6
Cartesian
0.000 0.000 0.000 K
0.000 4.562 0.000 Tl
2.299 1.327 2.170 Tl
5.602 1.327 2.170 Tl
3.951 4.188 2.170 Tl
0.000 2.852 2.170 Pd
-1.481 5.417 2.170 Pd
3.951 0.501 0.000 Pd
2.409 3.171 0.000 Pd
1.481 5.417 2.170 Pd
5.493 3.171 0.000 Pd
```

Largest 10 diffraction maxima, in order of rising 2θ, 2θ = 10–90°:
| 2θ (°) | intensity |
| --- | --- |
| 12.9 | 382 |
| 26.0 | 313 |
| 30.6 | 278 |
| 33.3 | 599 |
| 34.7 | 285 |
| 40.6 | 1000 |
| 41.6 | 320 |
| 44.9 | 255 |
| 45.9 | 266 |
| 72.4 | 241 |



(4)
The following is a computed XRD peak list of LiTi3P3O13. It was derived from a cell relaxed with GGA-PBE, using Cu Kα (λ = 1.5418 Å).
Intensities are scaled so that the largest is 1000.

Atomic structure:
```
LiTi3P3O13
1.0
7.657 0.000 0.000
0.000 6.379 0.000
-1.756 0.000 10.444
Li Ti P O
2 6 6 26
Cartesian
0.557 1.595 1.387 Li
5.344 4.784 9.057 Li
-0.348 1.595 8.431 Ti
1.380 4.784 4.679 Ti
3.828 0.000 0.000 Ti
3.828 3.189 0.000 Ti
4.521 1.595 5.765 Ti
6.249 4.784 2.013 Ti
1.300 4.784 1.312 P
0.373 4.784 8.031 P
1.224 1.595 5.422 P
4.677 4.784 5.022 P
5.528 1.595 2.413 P
4.600 1.595 9.132 P
-0.028 4.784 0.493 O
-0.544 3.574 8.312 O
-0.544 5.995 8.312 O
0.728 4.784 2.767 O
0.255 1.595 6.603 O
1.024 0.342 4.561 O
1.024 2.848 4.561 O
0.968 4.784 6.616 O
2.105 3.493 1.049 O
2.105 6.075 1.049 O
1.158 1.595 9.471 O
1.537 4.784 9.096 O
2.697 1.595 5.989 O
3.204 4.784 4.455 O
4.364 1.595 1.348 O
4.743 4.784 0.973 O
3.796 0.304 9.396 O
3.796 2.886 9.396 O
4.933 1.595 3.828 O
4.876 3.531 5.883 O
4.876 6.037 5.883 O
5.645 4.784 3.841 O
5.173 1.595 7.677 O
6.445 0.384 2.132 O
6.445 2.805 2.132 O
5.928 1.595 9.951 O
```

Largest 10 diffraction maxima, in order of rising 2θ, 2θ = 10–90°:
| 2θ (°) | intensity |
| --- | --- |
| 16.3 | 696 |
| 19.0 | 1000 |
| 22.2 | 412 |
| 23.6 | 936 |
| 26.4 | 802 |
| 28.0 | 685 |
| 29.2 | 594 |
| 30.0 | 545 |
| 31.9 | 472 |
| 32.2 | 695 |



(5)
The following is a computed XRD peak list of Be2Pd3Pt3. It was derived from a cell relaxed with GGA-PBE, using Cu Kα (λ = 1.5418 Å).
Intensities are scaled so that the largest is 1000.

Atomic structure:
```
Be2Pd3Pt3
1.0
6.781 0.000 0.000
-3.390 5.872 0.000
0.000 0.000 2.774
Be Pd Pt
2 3 3
Cartesian
0.000 3.915 0.000 Be
3.390 1.957 0.000 Be
-2.590 4.486 0.000 Pd
0.800 1.386 0.000 Pd
5.180 0.000 0.000 Pd
-1.395 2.416 1.387 Pt
2.790 0.000 1.387 Pt
1.995 3.456 1.387 Pt
```

Largest 10 diffraction maxima, in order of rising 2θ, 2θ = 10–90°:
| 2θ (°) | intensity |
| --- | --- |
| 26.3 | 638 |
| 30.4 | 210 |
| 35.8 | 288 |
| 40.7 | 870 |
| 42.1 | 1000 |
| 45.0 | 524 |
| 56.5 | 240 |
| 66.6 | 515 |
| 79.0 | 177 |
| 81.9 | 227 |



(6)
The following is a computed XRD peak list of LiNd6B3O13F2. It was derived from a cell relaxed with GGA-PBE, using Cu Kα (λ = 1.5418 Å).
Intensities are scaled so that the largest is 1000.

Atomic structure:
```
LiNd6B3O13F2
1.0
6.115 -3.509 0.000
6.115 3.509 0.000
-4.097 0.000 15.633
Li Nd B O F
2 12 6 26 4
Cartesian
3.042 3.000 11.725 Li
5.090 -3.000 3.908 Li
-0.823 0.719 9.596 Nd
-1.054 0.597 14.167 Nd
1.226 -0.719 1.779 Nd
0.995 -0.597 6.350 Nd
3.069 0.514 9.361 Nd
3.015 0.514 14.089 Nd
5.118 -0.514 1.544 Nd
5.063 -0.514 6.272 Nd
7.138 0.597 9.283 Nd
6.907 0.719 13.853 Nd
9.186 -0.597 1.466 Nd
8.955 -0.719 6.037 Nd
0.864 1.674 11.749 B
5.090 1.516 3.908 B
5.220 1.674 11.700 B
2.912 -1.674 3.933 B
3.042 -1.516 11.725 B
7.269 -1.674 3.884 B
1.298 1.920 10.434 O
-0.315 0.992 11.906 O
1.587 2.129 12.838 O
5.127 2.218 2.699 O
3.057 0.594 0.964 O
5.053 2.218 5.118 O
4.497 2.129 10.612 O
3.029 0.539 6.880 O
1.008 -0.594 8.781 O
1.734 -0.992 4.089 O
4.786 1.920 13.015 O
0.980 -0.539 14.697 O
5.090 0.154 3.908 O
3.042 -0.154 11.725 O
7.152 0.539 0.936 O
3.346 -1.920 2.618 O
6.399 0.992 11.544 O
7.124 0.594 6.852 O
5.104 -0.539 8.753 O
3.635 -2.129 5.021 O
3.079 -2.218 10.515 O
5.075 -0.594 14.669 O
3.005 -2.218 12.934 O
6.546 -2.129 2.795 O
8.447 -0.992 3.727 O
6.834 -1.920 5.199 O
3.022 2.890 8.472 F
3.062 2.890 14.978 F
5.070 -2.890 0.655 F
5.111 -2.890 7.161 F
```

Largest 10 diffraction maxima, in order of rising 2θ, 2θ = 10–90°:
| 2θ (°) | intensity |
| --- | --- |
| 22.8 | 653 |
| 25.3 | 389 |
| 25.9 | 846 |
| 26.0 | 452 |
| 30.6 | 1000 |
| 30.7 | 544 |
| 34.4 | 327 |
| 44.7 | 546 |
| 48.3 | 466 |
| 50.7 | 314 |



(7)
The following is a computed XRD peak list of Cd2InAg2. It was derived from a cell relaxed with GGA-PBE, using Cu Kα (λ = 1.5418 Å).
Intensities are scaled so that the largest is 1000.

Atomic structure:
```
Cd2InAg2
1.0
5.337 0.000 0.000
-2.624 5.130 0.000
-0.043 -2.667 7.460
Cd In Ag
4 2 4
Cartesian
-0.874 1.566 1.096 Cd
-1.620 4.462 1.833 Cd
4.289 -1.999 5.627 Cd
3.544 0.897 6.364 Cd
0.873 0.216 4.858 In
1.797 2.247 2.602 In
-0.872 2.602 4.096 Ag
1.756 -1.490 7.091 Ag
0.913 3.953 0.369 Ag
3.541 -0.139 3.364 Ag
```

Largest 10 diffraction maxima, in order of rising 2θ, 2θ = 10–90°:
| 2θ (°) | intensity |
| --- | --- |
| 33.1 | 444 |
| 33.6 | 268 |
| 36.9 | 703 |
| 37.8 | 508 |
| 38.0 | 1000 |
| 38.2 | 502 |
| 38.3 | 448 |
| 38.6 | 440 |
| 59.7 | 319 |
| 72.5 | 209 |



(8)
The following is a computed XRD peak list of Pr6GeSb2. It was derived from a cell relaxed with GGA-PBE, using Cu Kα (λ = 1.5418 Å).
Intensities are scaled so that the largest is 1000.

Atomic structure:
```
Pr6GeSb2
1.0
8.585 0.000 0.000
-4.292 7.435 0.000
0.000 0.000 4.379
Pr Ge Sb
6 1 2
Cartesian
-1.778 3.080 0.000 Pr
-3.223 5.582 2.189 Pr
1.070 1.852 2.189 Pr
3.557 0.000 0.000 Pr
2.514 4.354 0.000 Pr
6.446 0.000 2.189 Pr
0.000 0.000 0.000 Ge
0.000 4.956 2.189 Sb
4.292 2.478 2.189 Sb
```

Largest 10 diffraction maxima, in order of rising 2θ, 2θ = 10–90°:
| 2θ (°) | intensity |
| --- | --- |
| 29.1 | 1000 |
| 31.6 | 885 |
| 31.8 | 653 |
| 36.2 | 300 |
| 38.1 | 263 |
| 41.2 | 256 |
| 48.8 | 183 |
| 53.0 | 309 |
| 56.0 | 168 |
| 58.0 | 325 |



(9)
The following is a computed XRD peak list of AlP2S6. It was derived from a cell relaxed with GGA-PBE, using Cu Kα (λ = 1.5418 Å).
Intensities are scaled so that the largest is 1000.

Atomic structure:
```
AlP2S6
1.0
2.964 1.711 7.181
-2.964 1.711 7.181
0.000 -3.422 7.181
Al P S
1 2 6
Cartesian
0.000 0.000 0.000 Al
0.000 0.000 13.238 P
0.000 0.000 15.485 P
-2.105 0.064 8.793 S
-1.106 -1.633 12.750 S
0.997 -1.855 8.793 S
-0.861 1.774 12.750 S
1.108 1.791 8.793 S
1.967 -0.142 12.750 S
```

Largest 10 diffraction maxima, in order of rising 2θ, 2θ = 10–90°:
| 2θ (°) | intensity |
| --- | --- |
| 12.3 | 612 |
| 17.8 | 317 |
| 19.2 | 177 |
| 24.8 | 434 |
| 32.7 | 1000 |
| 39.4 | 226 |
| 48.9 | 210 |
| 53.6 | 267 |
| 59.9 | 143 |
| 64.2 | 104 |



(10)
The following is a computed XRD peak list of OsO4. It was derived from a cell relaxed with GGA-PBE, using Cu Kα (λ = 1.5418 Å).
Intensities are scaled so that the largest is 1000.

Atomic structure:
```
OsO4
1.0
0.000 6.058 3.130
5.344 0.000 3.130
5.344 6.058 0.000
Os O
2 8
Cartesian
0.000 0.000 0.000 Os
2.672 3.029 1.565 Os
6.746 3.648 3.709 O
10.067 7.328 4.120 O
7.395 7.817 2.555 O
3.293 4.299 2.555 O
6.614 6.677 5.274 O
9.417 11.497 5.274 O
3.942 8.468 3.709 O
5.965 10.846 4.120 O
```

Largest 10 diffraction maxima, in order of rising 2θ, 2θ = 10–90°:
| 2θ (°) | intensity |
| --- | --- |
| 18.0 | 1000 |
| 22.2 | 573 |
| 27.6 | 405 |
| 29.5 | 102 |
| 29.8 | 308 |
| 32.2 | 177 |
| 33.2 | 170 |
| 36.6 | 79 |
| 45.0 | 232 |
| 47.2 | 161 |



(11)
The following is a computed XRD peak list of SmAl11. It was derived from a cell relaxed with GGA-PBE, using Cu Kα (λ = 1.5418 Å).
Intensities are scaled so that the largest is 1000.

Atomic structure:
```
SmAl11
1.0
-5.500 5.500 3.621
5.500 -5.500 3.621
5.500 5.500 -3.621
Sm Al
2 22
Cartesian
5.500 2.750 0.905 Sm
0.000 2.750 2.716 Sm
0.000 0.000 0.000 Al
2.750 2.750 -1.811 Al
2.750 -2.750 1.811 Al
5.500 -2.750 2.716 Al
4.163 -0.479 1.295 Al
6.836 -0.479 1.295 Al
2.271 1.413 0.516 Al
8.728 1.413 0.516 Al
4.163 5.021 -1.295 Al
1.336 -0.479 2.327 Al
2.271 4.086 0.516 Al
3.228 -1.413 4.137 Al
0.000 5.500 0.000 Al
2.271 6.913 -0.516 Al
3.228 1.413 3.105 Al
4.163 5.978 1.295 Al
1.336 0.479 4.916 Al
-3.228 4.086 3.105 Al
3.228 4.086 3.105 Al
-1.336 5.978 2.327 Al
1.336 5.978 2.327 Al
0.000 8.250 0.905 Al
```

Largest 10 diffraction maxima, in order of rising 2θ, 2θ = 10–90°:
| 2θ (°) | intensity |
| --- | --- |
| 14.6 | 271 |
| 16.1 | 191 |
| 21.8 | 365 |
| 27.2 | 477 |
| 31.8 | 427 |
| 35.8 | 1000 |
| 36.5 | 525 |
| 38.2 | 244 |
| 54.9 | 231 |
| 65.3 | 247 |



(12)
The following is a computed XRD peak list of BeRe. It was derived from a cell relaxed with GGA-PBE, using Cu Kα (λ = 1.5418 Å).
Intensities are scaled so that the largest is 1000.

Atomic structure:
```
BeRe
1.0
1.561 -4.379 0.000
1.561 4.379 0.000
0.000 0.000 3.202
Be Re
2 2
Cartesian
1.561 3.779 2.402 Be
1.561 -3.779 0.801 Be
1.561 1.302 2.402 Re
1.561 -1.302 0.801 Re
```

Largest 10 diffraction maxima, in order of rising 2θ, 2θ = 10–90°:
| 2θ (°) | intensity |
| --- | --- |
| 20.3 | 157 |
| 30.4 | 516 |
| 34.7 | 1000 |
| 41.2 | 250 |
| 41.7 | 936 |
| 42.4 | 606 |
| 57.6 | 146 |
| 68.0 | 317 |
| 70.5 | 262 |
| 74.0 | 238 |



Question: What is the formula in the ninth record?
Answer: AlP2S6